VZn6P3O16: calculated XRD peak list (Cu Kα (weighted mean of Kα1 and Kα2)), based on a crystal structure in Alexandria, relaxed with PBE+U.

a = 5.4258 Å, b = 8.5456 Å, c = 8.5502 Å
α = 74.52°, β = 89.96°, γ = 71.93°
Space group P1 (No. 1)
Asymmetric unit:
V 0.0000 0.0000 0.0000
Zn 0.0084 0.1303 0.3207
Zn 0.3806 0.3882 0.2580
Zn 0.3884 0.7564 0.7829
Zn 0.4282 0.1441 0.8000
Zn 0.4677 0.7609 0.2936
Zn 0.8211 0.3995 0.7516
P 0.2658 0.5214 0.5707
P 0.5711 0.0100 0.4961
P 0.8136 0.5134 0.0785
O 0.0189 0.4706 0.5729
O 0.0755 0.1789 0.8713
O 0.1103 0.4592 0.0823
O 0.1363 0.8286 0.9286
O 0.1395 0.9557 0.2030
O 0.2425 0.6832 0.6205
O 0.3364 0.1648 0.3867
O 0.3537 0.5506 0.3920
O 0.4831 0.9696 0.6750
O 0.4915 0.3640 0.6854
O 0.6249 0.8511 0.4368
O 0.6689 0.0562 0.9935
O 0.6847 0.6707 0.1365
O 0.6996 0.5533 0.8960
O 0.7395 0.3527 0.1844
O 0.8028 0.0758 0.4995

Main lines, by angle (10° ≤ 2θ ≤ 90°):
h k l	2θ (°)	d/Å	I/Imax
1 1 0	17.31	5.123	62.1
0 1 2	21.46	4.142	51.1
1 1 2	26.55	3.358	46.4
0 2 2	26.76	3.331	99.2
1 -1 1	27.97	3.190	89.8
1 2 -1	28.18	3.167	100.0
2 1 0	33.02	2.713	49.7
2 0 -2	39.72	2.269	62.1